The following is a calculated powder X-ray diffraction pattern of Sr4CaMn2Ga2O11. It was derived from the GGA+U geometry in Alexandria, using Cu Ka.
Intensities are scaled so that the largest is 100.

Principal peaks in the range 15 to 90 degrees two-theta, by intensity:
(0 2 -1), 30.4 deg, I 100.0
(2 -2 0), 43.0 deg, I 91.1
(2 0 -1), 31.3 deg, I 84.9
(1 1 -3), 33.5 deg, I 73.8
(2 2 -2), 45.4 deg, I 69.7
(1 1 1), 29.6 deg, I 44.6

Atomic structure:
a = 5.765 Å, b = 5.887 Å, c = 8.580 Å
α = 106.56°, β = 102.06°, γ = 92.53°
Fractional positions:
Sr1 0.113 0.112 0.233
Sr2 0.291 0.309 0.666
Sr3 0.709 0.691 0.334
Sr4 0.887 0.888 0.767
Ca1 0.500 0.500 0.000
Mn1 0.000 0.500 0.000
Mn2 0.500 0.000 0.000
Ga1 0.253 0.720 0.491
Ga2 0.747 0.280 0.509
O1 0.000 0.000 0.500
O2 0.000 0.500 0.500
O3 0.196 0.655 0.244
O4 0.215 0.702 0.926
O5 0.241 0.200 0.977
O6 0.434 0.930 0.698
O7 0.500 0.500 0.500
O8 0.566 0.070 0.302
O9 0.759 0.800 0.023
O10 0.785 0.298 0.074
O11 0.804 0.345 0.756